Calculated powder diffractogram of Li5MnCo2O8 for a wavelength of 1.5418 Å, from a PBE+U-relaxed structure.
No peak broadening, texture or thermal motion is included.

Cell and atoms:
```
Li5MnCo2O8
1.0
5.0389 0.0000 0.0000
0.0000 2.8968 0.0000
-1.9231 0.0000 9.4527
Li Mn Co O
5 1 2 8
Direct
0.0000 0.0000 0.0000
0.0070 0.5000 0.4978
0.2381 0.5000 0.2568
0.4734 0.0000 0.4987
0.7499 0.5000 0.7526
0.7513 0.0000 0.2555
0.2350 0.0000 0.7442
0.4875 0.5000 0.0013
0.0940 0.0000 0.3634
0.1404 0.5000 0.8778
0.3738 0.5000 0.6396
0.3943 0.0000 0.1169
0.5788 0.0000 0.8843
0.6303 0.5000 0.3605
0.8390 0.5000 0.1301
0.9107 0.0000 0.6434
```

Top 10 peaks for 2θ from 10° to 90°, by angle:
d (Å), 2theta, intensity, index
4.938, 17.96, 9, 1 0 0
4.786, 18.54, 100, 1 0 -1
4.726, 18.78, 10, 0 0 2
2.470, 36.38, 26, 0 1 2
2.444, 36.77, 11, 1 0 3
2.062, 43.92, 60, 1 1 -3
2.029, 44.67, 27, 2 0 2
1.593, 57.88, 10, 2 1 -4
1.453, 64.10, 15, 3 1 -1
1.439, 64.77, 15, 1 1 5